(1)
The following is a computed X-ray diffraction stick pattern of TbCeO4. It was derived from DFT lattice parameters and positions (PBE), using CuKα.
Intensities are scaled so that the largest is 100.

Top 10 peaks for 15 to 90 degrees two-theta, most intense first:
d/Å	I/Imax
3.157	100
1.914	35
1.674	32
2.792	21
1.975	19
1.601	14
1.244	12
1.128	12
2.627	9
1.578	9

a = 7.668 Å, b = 7.668 Å, c = 7.668 Å
α = 118.01°, β = 118.01°, γ = 93.49°
Fractional positions:
Tb 0.000 0.000 0.000
Tb 0.000 0.000 0.500
Tb 0.000 0.500 0.000
Tb 0.500 0.000 0.500
Ce 0.000 0.500 0.500
Ce 0.500 0.000 0.000
Ce 0.500 0.500 0.000
Ce 0.500 0.500 0.500
O 0.122 0.372 0.750
O 0.125 0.875 0.250
O 0.129 0.379 0.257
O 0.129 0.871 0.750
O 0.372 0.122 0.250
O 0.375 0.625 0.750
O 0.379 0.129 0.757
O 0.379 0.621 0.250
O 0.621 0.379 0.750
O 0.621 0.871 0.243
O 0.625 0.375 0.250
O 0.628 0.878 0.750
O 0.871 0.129 0.250
O 0.871 0.621 0.743
O 0.875 0.125 0.750
O 0.878 0.628 0.250

=====

(2)
The following is a computed X-ray diffraction stick pattern of PrAs2Pd2. It was derived from DFT lattice parameters and positions (PBE), using CuKα.
Intensities are scaled so that the largest is 100.

Top 10 peaks for 15 to 90 degrees two-theta, most intense first:
d/Å	I/Imax
2.647	100
2.167	55
2.722	47
1.696	23
1.326	23
1.889	19
1.533	18
1.993	17
1.424	15
1.519	15

a = 6.077 Å, b = 6.077 Å, c = 6.077 Å
α = 138.21°, β = 138.21°, γ = 60.58°
Fractional positions:
Pr 0.000 0.000 0.000
As 0.379 0.379 0.000
As 0.621 0.621 0.000
Pd 0.250 0.750 0.500
Pd 0.750 0.250 0.500

=====

(3)
The following is a computed X-ray diffraction stick pattern of Ta8VC4S8. It was derived from DFT lattice parameters and positions (PBE), using CuKα.
Intensities are scaled so that the largest is 100.

Top 10 peaks for 15 to 90 degrees two-theta, most intense first:
d/Å	I/Imax
2.143	100
2.856	90
2.508	83
2.623	72
1.629	47
2.263	46
1.658	45
1.312	26
1.434	25
1.311	16

a = 9.396 Å, b = 9.396 Å, c = 9.396 Å
α = 41.34°, β = 41.34°, γ = 41.34°
Fractional positions:
Ta 0.120 0.622 0.622
Ta 0.122 0.122 0.122
Ta 0.378 0.378 0.880
Ta 0.378 0.880 0.378
Ta 0.622 0.120 0.622
Ta 0.622 0.622 0.120
Ta 0.878 0.878 0.878
Ta 0.880 0.378 0.378
V 0.000 0.000 0.000
C 0.000 0.000 0.500
C 0.000 0.500 0.000
C 0.500 0.000 0.000
C 0.500 0.500 0.500
S 0.225 0.225 0.722
S 0.225 0.722 0.225
S 0.275 0.275 0.275
S 0.278 0.775 0.775
S 0.722 0.225 0.225
S 0.725 0.725 0.725
S 0.775 0.278 0.775
S 0.775 0.775 0.278

=====

(4)
The following is a computed X-ray diffraction stick pattern of Ta2NbRh. It was derived from DFT lattice parameters and positions (PBE), using CuKα.
Intensities are scaled so that the largest is 100.

Top 7 peaks for 15 to 90 degrees two-theta, most intense first:
d/Å	I/Imax
2.292	100
1.323	35
1.621	17
1.146	11
3.242	10
1.450	4
1.872	3

a = 4.584 Å, b = 4.584 Å, c = 4.584 Å
α = 60.00°, β = 60.00°, γ = 60.00°
Fractional positions:
Ta 0.250 0.250 0.250
Ta 0.750 0.750 0.750
Nb 0.000 0.000 0.000
Rh 0.500 0.500 0.500

=====

(5)
The following is a computed X-ray diffraction stick pattern of CeNdI4. It was derived from DFT lattice parameters and positions (PBE), using CuKα.
Intensities are scaled so that the largest is 100.

Top 10 peaks for 15 to 90 degrees two-theta, most intense first:
d/Å	I/Imax
3.234	100
3.126	92
2.933	81
2.744	81
2.683	64
2.344	64
2.793	55
2.967	51
2.507	50
3.023	43

a = 8.906 Å, b = 8.906 Å, c = 7.681 Å
α = 110.66°, β = 110.66°, γ = 110.21°
Fractional positions:
Ce 0.005 0.995 0.750
Ce 0.995 0.005 0.250
Nd 0.369 0.631 0.750
Nd 0.631 0.369 0.250
I 0.055 0.694 0.410
I 0.254 0.374 0.245
I 0.306 0.945 0.090
I 0.374 0.254 0.745
I 0.626 0.746 0.255
I 0.694 0.055 0.910
I 0.746 0.626 0.755
I 0.945 0.306 0.590

=====

(6)
The following is a computed X-ray diffraction stick pattern of KNaH6PtC4N4O3. It was derived from DFT lattice parameters and positions (PBE), using CuKα.
Intensities are scaled so that the largest is 100.

Top 10 peaks for 15 to 90 degrees two-theta, most intense first:
d/Å	I/Imax
4.484	100
4.289	76
5.894	73
2.945	69
3.126	55
3.779	45
2.994	44
3.254	41
2.690	35
2.096	32

a = 9.487 Å, b = 9.487 Å, c = 6.533 Å
α = 106.84°, β = 106.84°, γ = 93.45°
Fractional positions:
K 0.240 0.760 0.500
K 0.760 0.240 0.000
Na 0.636 0.823 0.971
Na 0.823 0.636 0.471
H 0.056 0.863 0.860
H 0.088 0.705 0.860
H 0.414 0.706 0.139
H 0.424 0.877 0.195
H 0.628 0.847 0.529
H 0.705 0.088 0.360
H 0.706 0.414 0.639
H 0.789 0.931 0.678
H 0.847 0.628 0.029
H 0.863 0.056 0.360
H 0.877 0.424 0.695
H 0.931 0.789 0.178
Pt 0.273 0.280 0.483
Pt 0.280 0.273 0.983
C 0.076 0.156 0.844
C 0.087 0.371 0.442
C 0.156 0.076 0.344
C 0.196 0.462 0.018
C 0.371 0.087 0.942
C 0.391 0.484 0.631
C 0.462 0.196 0.518
C 0.484 0.391 0.131
N 0.088 0.954 0.268
N 0.150 0.576 0.036
N 0.429 0.980 0.918
N 0.461 0.604 0.722
N 0.576 0.150 0.536
N 0.604 0.461 0.222
N 0.954 0.088 0.768
N 0.980 0.429 0.418
O 0.053 0.764 0.757
O 0.466 0.800 0.256
O 0.714 0.845 0.655
O 0.764 0.053 0.257
O 0.800 0.466 0.756
O 0.845 0.714 0.155